(1)
Starting from a PBE-relaxed structure, the powder diffraction line list of Sm6TlFe13 was computed for Cu Kα X-rays.

Principal peaks in the range 10° ≤ 2θ ≤ 90°, sorted by position:
2theta, I/Imax
27.4, 71
31.5, 100
32.1, 46
35.4, 95
38.3, 65
43.2, 45

Atomic structure:
a b c (Å): 12.924 12.924 12.924
angles (deg): 143.86 143.86 52.03
Fractional positions:
Sm (0.020, 0.520, 0.172)
Sm (0.104, 0.104, 0.000)
Sm (0.152, 0.980, 0.500)
Sm (0.348, 0.848, 0.828)
Sm (0.396, 0.396, 0.000)
Sm (0.480, 0.652, 0.500)
Sm (0.520, 0.348, 0.500)
Sm (0.604, 0.604, 0.000)
Sm (0.652, 0.152, 0.172)
Sm (0.848, 0.020, 0.500)
Sm (0.896, 0.896, 0.000)
Sm (0.980, 0.480, 0.828)
Tl (0.250, 0.250, 0.000)
Tl (0.750, 0.750, 0.000)
Fe (0.000, 0.500, 0.500)
Fe (0.019, 0.291, 0.500)
Fe (0.066, 0.210, 0.276)
Fe (0.120, 0.620, 0.858)
Fe (0.209, 0.481, 0.500)
Fe (0.210, 0.934, 0.143)
Fe (0.238, 0.738, 0.858)
Fe (0.262, 0.120, 0.500)
Fe (0.290, 0.434, 0.724)
Fe (0.291, 0.791, 0.272)
Fe (0.380, 0.238, 0.500)
Fe (0.434, 0.710, 0.143)
Fe (0.481, 0.981, 0.272)
Fe (0.500, 0.000, 0.500)
Fe (0.519, 0.019, 0.728)
Fe (0.566, 0.290, 0.857)
Fe (0.620, 0.762, 0.500)
Fe (0.709, 0.209, 0.728)
Fe (0.710, 0.566, 0.276)
Fe (0.738, 0.880, 0.500)
Fe (0.762, 0.262, 0.142)
Fe (0.790, 0.066, 0.857)
Fe (0.791, 0.519, 0.500)
Fe (0.880, 0.380, 0.142)
Fe (0.934, 0.790, 0.724)
Fe (0.981, 0.709, 0.500)

***

(2)
Starting from a PBE-relaxed structure, the powder diffraction line list of SmTmFe was computed for Cu Kα X-rays.

Principal peaks in the range 10° ≤ 2θ ≤ 90°, sorted by position:
2theta, I/Imax
28.6, 70
28.7, 61
30.0, 100
32.2, 76
32.5, 71
36.0, 64

Atomic structure:
a b c (Å): 6.912 6.912 7.294
angles (deg): 90.00 90.00 120.58
Fractional positions:
Sm (0.198, 0.802, 0.887)
Sm (0.302, 0.698, 0.387)
Sm (0.698, 0.302, 0.613)
Sm (0.802, 0.198, 0.113)
Tm (0.208, 0.292, 0.750)
Tm (0.292, 0.208, 0.250)
Tm (0.708, 0.792, 0.750)
Tm (0.792, 0.708, 0.250)
Fe (0.091, 0.909, 0.542)
Fe (0.409, 0.591, 0.042)
Fe (0.591, 0.409, 0.958)
Fe (0.909, 0.091, 0.458)

***

(3)
Starting from a PBE-relaxed structure, the powder diffraction line list of SmV2Fe10 was computed for Cu Kα X-rays.

Principal peaks in the range 10° ≤ 2θ ≤ 90°, sorted by position:
2theta, I/Imax
30.3, 63
42.3, 50
42.7, 43
42.9, 66
43.0, 75
44.2, 100

Atomic structure:
a b c (Å): 6.455 6.455 6.455
angles (deg): 137.48 97.96 97.15
Fractional positions:
Sm (0.000, 0.000, 0.000)
V (0.359, 0.359, 0.000)
V (0.641, 0.641, 0.000)
Fe (0.000, 0.000, 0.500)
Fe (0.000, 0.500, 0.000)
Fe (0.228, 0.500, 0.728)
Fe (0.230, 0.730, 0.500)
Fe (0.360, 0.000, 0.360)
Fe (0.500, 0.000, 0.000)
Fe (0.500, 0.500, 0.500)
Fe (0.640, 0.000, 0.640)
Fe (0.770, 0.270, 0.500)
Fe (0.772, 0.500, 0.272)

***

(4)
Starting from a PBE-relaxed structure, the powder diffraction line list of SmZn8Fe4 was computed for Cu Kα X-rays.

Principal peaks in the range 10° ≤ 2θ ≤ 90°, sorted by position:
2theta, I/Imax
35.5, 50
41.0, 68
41.1, 100
41.7, 60
46.7, 43
74.7, 30

Atomic structure:
a b c (Å): 6.710 6.710 6.710
angles (deg): 97.92 97.92 136.43
Fractional positions:
Sm (0.000, 0.000, 0.000)
Zn (0.000, 0.341, 0.341)
Zn (0.000, 0.659, 0.659)
Zn (0.271, 0.500, 0.771)
Zn (0.341, 0.000, 0.341)
Zn (0.500, 0.271, 0.771)
Zn (0.500, 0.729, 0.229)
Zn (0.659, 0.000, 0.659)
Zn (0.729, 0.500, 0.229)
Fe (0.000, 0.000, 0.500)
Fe (0.000, 0.500, 0.000)
Fe (0.500, 0.000, 0.000)
Fe (0.500, 0.500, 0.500)

***

(5)
Starting from a PBE-relaxed structure, the powder diffraction line list of SmZr2Fe9 was computed for Cu Kα X-rays.

Principal peaks in the range 10° ≤ 2θ ≤ 90°, sorted by position:
2theta, I/Imax
33.3, 32
35.8, 41
36.4, 25
41.7, 35
42.5, 100
68.9, 22

Atomic structure:
a b c (Å): 8.502 8.502 8.502
angles (deg): 34.34 34.34 34.34
Fractional positions:
Sm (0.000, 0.000, 0.000)
Zr (0.143, 0.143, 0.143)
Zr (0.857, 0.857, 0.857)
Fe (0.083, 0.586, 0.586)
Fe (0.333, 0.333, 0.333)
Fe (0.414, 0.414, 0.917)
Fe (0.414, 0.917, 0.414)
Fe (0.500, 0.500, 0.500)
Fe (0.586, 0.083, 0.586)
Fe (0.586, 0.586, 0.083)
Fe (0.667, 0.667, 0.667)
Fe (0.917, 0.414, 0.414)

***

(6)
Starting from a PBE-relaxed structure, the powder diffraction line list of SmZrFe10 was computed for Cu Kα X-rays.

Principal peaks in the range 10° ≤ 2θ ≤ 90°, sorted by position:
2theta, I/Imax
30.8, 43
36.3, 30
42.2, 34
43.1, 100
45.9, 27
70.0, 21

Atomic structure:
a b c (Å): 3.957 4.955 8.566
angles (deg): 90.00 90.00 90.00
Fractional positions:
Sm (0.000, 0.000, 0.000)
Zr (0.000, 0.500, 0.500)
Fe (0.000, 0.000, 0.340)
Fe (0.000, 0.000, 0.660)
Fe (0.000, 0.500, 0.174)
Fe (0.000, 0.500, 0.826)
Fe (0.500, 0.000, 0.500)
Fe (0.500, 0.253, 0.257)
Fe (0.500, 0.253, 0.743)
Fe (0.500, 0.500, 0.000)
Fe (0.500, 0.747, 0.257)
Fe (0.500, 0.747, 0.743)

***

(7)
Starting from a PBE-relaxed structure, the powder diffraction line list of FeSn3 was computed for Cu Kα X-rays.

Principal peaks in the range 10° ≤ 2θ ≤ 90°, sorted by position:
2theta, I/Imax
28.4, 28
29.1, 40
30.2, 28
34.6, 75
36.9, 100
41.1, 51

Atomic structure:
a b c (Å): 5.535 5.535 5.535
angles (deg): 144.46 78.41 112.78
Fractional positions:
Fe (0.000, 0.000, 0.000)
Sn (0.060, 0.745, 0.315)
Sn (0.430, 0.745, 0.685)
Sn (0.674, 0.174, 0.500)

***

(8)
Starting from a PBE-relaxed structure, the powder diffraction line list of FeSn was computed for Cu Kα X-rays.

Principal peaks in the range 10° ≤ 2θ ≤ 90°, sorted by position:
2theta, I/Imax
28.4, 64
30.1, 53
36.2, 29
39.8, 27
40.6, 40
43.9, 100

Atomic structure:
a b c (Å): 7.191 7.191 7.191
angles (deg): 92.67 92.67 155.05
Fractional positions:
Fe (0.080, 0.390, 0.471)
Fe (0.390, 0.920, 0.310)
Fe (0.610, 0.080, 0.690)
Fe (0.920, 0.610, 0.529)
Sn (0.115, 0.809, 0.924)
Sn (0.191, 0.115, 0.306)
Sn (0.809, 0.885, 0.694)
Sn (0.885, 0.191, 0.076)

***

(9)
Starting from a PBE-relaxed structure, the powder diffraction line list of Fe3Sn7 was computed for Cu Kα X-rays.

Principal peaks in the range 10° ≤ 2θ ≤ 90°, sorted by position:
2theta, I/Imax
30.6, 81
33.6, 51
36.3, 65
41.4, 100
58.1, 25
75.5, 41

Atomic structure:
a b c (Å): 8.012 8.012 8.012
angles (deg): 109.47 109.47 109.47
Fractional positions:
Fe (0.000, 0.349, 0.349)
Fe (0.000, 0.651, 0.651)
Fe (0.349, 0.000, 0.349)
Fe (0.349, 0.349, 0.000)
Fe (0.651, 0.000, 0.651)
Fe (0.651, 0.651, 0.000)
Sn (0.000, 0.000, 0.321)
Sn (0.000, 0.000, 0.679)
Sn (0.000, 0.321, 0.000)
Sn (0.000, 0.679, 0.000)
Sn (0.250, 0.500, 0.750)
Sn (0.250, 0.750, 0.500)
Sn (0.321, 0.000, 0.000)
Sn (0.321, 0.321, 0.321)
Sn (0.500, 0.250, 0.750)
Sn (0.500, 0.750, 0.250)
Sn (0.679, 0.000, 0.000)
Sn (0.679, 0.679, 0.679)
Sn (0.750, 0.250, 0.500)
Sn (0.750, 0.500, 0.250)

***

(10)
Starting from a PBE-relaxed structure, the powder diffraction line list of Tb4FeSn8 was computed for Cu Kα X-rays.

Principal peaks in the range 10° ≤ 2θ ≤ 90°, sorted by position:
2theta, I/Imax
32.5, 18
32.7, 100
40.1, 18
40.7, 17
58.4, 12
68.1, 13

Atomic structure:
a b c (Å): 4.435 4.500 16.535
angles (deg): 90.00 90.00 90.00
Fractional positions:
Tb (0.000, 0.000, 0.000)
Tb (0.000, 0.500, 0.492)
Tb (0.500, 0.000, 0.792)
Tb (0.500, 0.500, 0.297)
Fe (0.000, 0.500, 0.701)
Sn (0.000, 0.000, 0.329)
Sn (0.000, 0.000, 0.633)
Sn (0.000, 0.500, 0.148)
Sn (0.000, 0.500, 0.851)
Sn (0.500, 0.000, 0.150)
Sn (0.500, 0.000, 0.457)
Sn (0.500, 0.500, 0.632)
Sn (0.500, 0.500, 0.972)

***

(11)
Starting from a PBE-relaxed structure, the powder diffraction line list of TbFe6Sn6 was computed for Cu Kα X-rays.

Principal peaks in the range 10° ≤ 2θ ≤ 90°, sorted by position:
2theta, I/Imax
33.0, 51
33.1, 100
38.8, 47
38.9, 93
43.5, 49
72.2, 56

Atomic structure:
a b c (Å): 10.369 10.369 5.430
angles (deg): 90.00 90.00 128.76
Fractional positions:
Tb (0.128, 0.872, 0.750)
Tb (0.872, 0.128, 0.250)
Fe (0.000, 0.500, 0.000)
Fe (0.000, 0.500, 0.500)
Fe (0.122, 0.372, 0.750)
Fe (0.246, 0.246, 0.000)
Fe (0.246, 0.246, 0.500)
Fe (0.372, 0.122, 0.250)
Fe (0.500, 0.000, 0.000)
Fe (0.500, 0.000, 0.500)
Fe (0.628, 0.878, 0.750)
Fe (0.754, 0.754, 0.000)
Fe (0.754, 0.754, 0.500)
Fe (0.878, 0.628, 0.250)
Sn (0.042, 0.958, 0.250)
Sn (0.211, 0.789, 0.250)
Sn (0.213, 0.461, 0.250)
Sn (0.295, 0.705, 0.750)
Sn (0.460, 0.540, 0.750)
Sn (0.461, 0.213, 0.750)
Sn (0.539, 0.787, 0.250)
Sn (0.540, 0.460, 0.250)
Sn (0.705, 0.295, 0.250)
Sn (0.787, 0.539, 0.750)
Sn (0.789, 0.211, 0.750)
Sn (0.958, 0.042, 0.750)

***

(12)
Starting from a PBE-relaxed structure, the powder diffraction line list of Th4FeSn was computed for Cu Kα X-rays.

Principal peaks in the range 10° ≤ 2θ ≤ 90°, sorted by position:
2theta, I/Imax
27.7, 44
29.6, 86
31.1, 61
32.6, 65
33.6, 100
34.4, 82

Atomic structure:
a b c (Å): 9.055 9.055 6.048
angles (deg): 106.50 106.50 45.76
Fractional positions:
Th (0.124, 0.634, 0.386)
Th (0.238, 0.762, 0.000)
Th (0.308, 0.308, 0.825)
Th (0.366, 0.876, 0.614)
Th (0.634, 0.124, 0.386)
Th (0.692, 0.692, 0.175)
Th (0.762, 0.238, 0.000)
Th (0.876, 0.366, 0.614)
Fe (0.464, 0.464, 0.660)
Fe (0.536, 0.536, 0.340)
Sn (0.193, 0.193, 0.206)
Sn (0.807, 0.807, 0.794)